For Ho2TmTl2Cd4, DFT lattice parameters and positions (PBE) gives the computed PXRD pattern in this record (Cu Kα X-rays).
Neutral-atom scattering factors, no anomalous dispersion.

Crystal structure
```
data_Ho2TmTl2Cd4
_chemical_formula_sum 'Ho4 Tm2 Tl4 Cd8'
_cell_length_a 4.5487
_cell_length_b 13.0046
_cell_length_c 7.5396
_cell_angle_alpha 90.00
_cell_angle_beta 90.00
_cell_angle_gamma 90.00
_space_group_name_H-M_alt 'A m m 2'
_space_group_IT_number 38
_space_group_name_Hall 'A 2 -2'
loop_
_atom_site_label
_atom_site_type_symbol
_atom_site_fract_x
_atom_site_fract_y
_atom_site_fract_z
_atom_site_occupancy
Ho1 Ho 0.0000 0.2141 0.0000 1
Tm1 Tm 0.0000 0.0000 0.6425 1
Tl1 Tl 0.5000 0.1659 0.7142 1
Cd1 Cd 0.0000 0.0000 0.2163 1
Cd2 Cd 0.5000 0.0000 0.9753 1
Cd3 Cd 0.5000 0.1201 0.3344 1
```

Peak list (10 most intense, 2θ = 5–70°, sorted by position)
d [Å], intensity, (hkl)
2.899, 765, 1 3 1
2.649, 1000, 1 4 0
2.465, 261, 0 1 3
2.274, 312, 2 0 0
2.174, 137, 0 3 3
2.167, 230, 0 6 0
1.671, 234, 2 1 3
1.423, 125, 1 1 5
1.419, 158, 1 7 3
1.375, 130, 3 4 0